For Cu13Si2, a DFT-relaxed cell (GGA-PBE, Alexandria) gives the computed PXRD pattern in this record (a wavelength of 1.5418 Å).
Peak positions follow from Bragg's law for the DFT cell and can differ from measured ones.

Structure:
a b c (Å): 4.4890 6.2773 6.8129
angles (deg): 70.68 83.56 88.39
Space group P-1 (No. 2)
Asymmetric unit:
Cu: 0.0000 0.0000 0.0000 (multiplicity 1)
Cu: 0.1354 0.2567 0.2107 (multiplicity 2)
Cu: 0.2005 0.4004 0.8072 (multiplicity 2)
Cu: 0.2639 0.5282 0.4003 (multiplicity 2)
Cu: 0.3343 0.6636 0.9972 (multiplicity 2)
Cu: 0.3854 0.8054 0.5940 (multiplicity 2)
Cu: 0.4666 0.9295 0.1984 (multiplicity 2)
Si: 0.0763 0.1427 0.6091 (multiplicity 2)

Most intense lines, 5° ≤ 2θ ≤ 70°, in order of rising 2θ:
- 2θ = 13.9°, intensity 3, (0 0 1)
- 2θ = 15.0°, intensity 2, (0 1 0)
- 2θ = 19.9°, intensity 2, (1 0 0)
- 2θ = 23.6°, intensity 1, (0 1 -1)
- 2θ = 42.9°, intensity 51, (1 1 3)
- 2θ = 43.2°, intensity 100, (2 -1 0)
- 2θ = 43.3°, intensity 50, (0 3 1)
- 2θ = 49.3°, intensity 33, (2 2 1)
- 2θ = 50.1°, intensity 31, (-1 2 3)
- 2θ = 51.3°, intensity 29, (1 -2 2)

For Nd3AgAu3, a DFT-relaxed cell (GGA-PBE, Alexandria) gives the computed PXRD pattern in this record (a wavelength of 1.5418 Å).
Peak positions follow from Bragg's law for the DFT cell and can differ from measured ones.

Structure:
a b c (Å): 3.8466 4.5924 20.3965
angles (deg): 90.00 90.00 90.00
Space group Imm2 (No. 44)
Asymmetric unit:
Nd: 0.0000 0.0000 0.0000 (multiplicity 2)
Nd: 0.0000 0.0000 0.3730 (multiplicity 2)
Nd: 0.0000 0.5000 0.1777 (multiplicity 2)
Ag: 0.0000 0.5000 0.7522 (multiplicity 2)
Au: 0.0000 0.0000 0.5316 (multiplicity 2)
Au: 0.0000 0.0000 0.8375 (multiplicity 2)
Au: 0.0000 0.5000 0.6192 (multiplicity 2)

Most intense lines, 5° ≤ 2θ ≤ 70°, in order of rising 2θ:
- 2θ = 26.2°, intensity 17, (0 0 6)
- 2θ = 31.6°, intensity 100, (1 1 2)
- 2θ = 32.0°, intensity 27, (1 0 5)
- 2θ = 35.2°, intensity 36, (1 1 4)
- 2θ = 36.5°, intensity 57, (0 1 7)
- 2θ = 39.2°, intensity 38, (0 2 0)
- 2θ = 40.5°, intensity 48, (1 1 6)
- 2θ = 47.3°, intensity 22, (2 0 0)
- 2θ = 61.2°, intensity 25, (2 1 7)
- 2θ = 63.0°, intensity 19, (2 2 0)

For Ce2Tc7, a DFT-relaxed cell (GGA-PBE, Alexandria) gives the computed PXRD pattern in this record (a wavelength of 1.5418 Å).
Peak positions follow from Bragg's law for the DFT cell and can differ from measured ones.

Structure:
a b c (Å): 5.2052 5.2052 41.4532
angles (deg): 90.00 90.00 120.00
Space group R-3m (No. 166, hexagonal axes)
Asymmetric unit:
Ce: 0.0000 0.0000 0.0550 (multiplicity 6)
Ce: 0.0000 0.0000 0.1527 (multiplicity 6)
Tc: 0.0000 0.0000 0.2804 (multiplicity 6)
Tc: 0.0000 0.0000 0.3876 (multiplicity 6)
Tc: 0.0000 0.0000 0.5000 (multiplicity 3)
Tc: 0.0000 0.5000 0.0000 (multiplicity 9)
Tc: 0.0040 0.5020 0.8905 (multiplicity 18)

Most intense lines, 5° ≤ 2θ ≤ 70°, in order of rising 2θ:
- 2θ = 29.3°, intensity 17, (1 0 10)
- 2θ = 30.9°, intensity 12, (0 1 11)
- 2θ = 34.5°, intensity 30, (1 1 0)
- 2θ = 39.1°, intensity 30, (0 0 18)
- 2θ = 39.8°, intensity 100, (1 1 9)
- 2θ = 40.1°, intensity 26, (0 2 1)
- 2θ = 43.8°, intensity 15, (2 0 8)
- 2θ = 58.9°, intensity 9, (0 2 19)
- 2θ = 60.7°, intensity 8, (2 0 20)
- 2θ = 65.3°, intensity 23, (3 0 9)

For Y2Np2Se7, a DFT-relaxed cell (GGA-PBE, Alexandria) gives the computed PXRD pattern in this record (a wavelength of 1.5418 Å).
Peak positions follow from Bragg's law for the DFT cell and can differ from measured ones.

Structure:
a b c (Å): 4.8194 4.8194 13.5951
angles (deg): 90.00 90.00 90.00
Space group P-4m2 (No. 115)
Asymmetric unit:
Y: 0.0000 0.5000 0.1389 (multiplicity 2)
Np: 0.0000 0.5000 0.6238 (multiplicity 2)
Se: 0.0000 0.0000 0.2386 (multiplicity 2)
Se: 0.0000 0.0000 0.5000 (multiplicity 1)
Se: 0.5000 0.5000 0.0000 (multiplicity 1)
Se: 0.5000 0.5000 0.2589 (multiplicity 2)
Se: 0.5000 0.5000 0.5000 (multiplicity 1)

Most intense lines, 5° ≤ 2θ ≤ 70°, in order of rising 2θ:
- 2θ = 6.5°, intensity 51, (0 0 1)
- 2θ = 19.5°, intensity 9, (1 0 1)
- 2θ = 22.6°, intensity 71, (1 0 2)
- 2θ = 27.0°, intensity 11, (1 0 3)
- 2θ = 37.4°, intensity 100, (2 0 0)
- 2θ = 44.1°, intensity 37, (2 1 2)
- 2θ = 53.8°, intensity 12, (2 2 0)
- 2θ = 59.1°, intensity 15, (3 0 2)
- 2θ = 67.3°, intensity 23, (3 1 4)
- 2θ = 67.4°, intensity 10, (2 0 8)

For Ca2La5Sb5O14, a DFT-relaxed cell (GGA-PBE, Alexandria) gives the computed PXRD pattern in this record (a wavelength of 1.5418 Å).
Peak positions follow from Bragg's law for the DFT cell and can differ from measured ones.

Structure:
a b c (Å): 7.5858 8.1948 11.8613
angles (deg): 90.00 94.77 90.00
Space group P2/m (No. 10)
Asymmetric unit:
Ca: 0.0000 0.0000 0.0000 (multiplicity 1)
Ca: 0.0000 0.0000 0.5000 (multiplicity 1)
La: 0.2901 0.2166 0.2574 (multiplicity 4)
La: 0.5000 0.0000 0.0000 (multiplicity 1)
Sb: 0.2599 0.1776 0.7427 (multiplicity 4)
Sb: 0.5000 0.0000 0.5000 (multiplicity 1)
O: 0.2054 0.0000 0.8797 (multiplicity 2)
O: 0.2184 0.0000 0.3836 (multiplicity 2)
O: 0.2276 0.0000 0.1376 (multiplicity 2)
O: 0.4562 0.2062 0.6252 (multiplicity 4)
O: 0.4770 0.2172 0.8522 (multiplicity 4)

Most intense lines, 5° ≤ 2θ ≤ 70°, in order of rising 2θ:
- 2θ = 10.8°, intensity 100, (0 1 0)
- 2θ = 11.7°, intensity 26, (1 0 0)
- 2θ = 15.0°, intensity 35, (0 0 2)
- 2θ = 26.5°, intensity 50, (0 2 2)
- 2θ = 26.9°, intensity 29, (2 0 -2)
- 2θ = 29.1°, intensity 36, (2 0 2)
- 2θ = 30.2°, intensity 17, (0 0 4)
- 2θ = 32.2°, intensity 23, (2 2 0)
- 2θ = 36.2°, intensity 21, (0 3 2)
- 2θ = 43.3°, intensity 16, (2 2 -4)

For CsPb4S5, a DFT-relaxed cell (GGA-PBE, Alexandria) gives the computed PXRD pattern in this record (a wavelength of 1.5418 Å).
Peak positions follow from Bragg's law for the DFT cell and can differ from measured ones.

Structure:
a b c (Å): 14.3590 4.2492 10.9828
angles (deg): 90.00 120.72 90.00
Space group C2/m (No. 12)
Asymmetric unit:
Cs: 0.0000 0.0000 0.0000 (multiplicity 2)
Pb: 0.1015 0.5000 0.4059 (multiplicity 4)
Pb: 0.2005 0.0000 0.7959 (multiplicity 4)
S: 0.0000 0.0000 0.5000 (multiplicity 2)
S: 0.1174 0.5000 0.8776 (multiplicity 4)
S: 0.2033 0.0000 0.3315 (multiplicity 4)

Most intense lines, 5° ≤ 2θ ≤ 70°, in order of rising 2θ:
- 2θ = 24.3°, intensity 27, (2 0 -3)
- 2θ = 25.4°, intensity 24, (4 0 -1)
- 2θ = 25.5°, intensity 45, (1 1 1)
- 2θ = 29.1°, intensity 100, (2 0 2)
- 2θ = 40.9°, intensity 12, (6 0 -4)
- 2θ = 41.0°, intensity 25, (1 1 -4)
- 2θ = 42.3°, intensity 25, (5 1 0)
- 2θ = 48.2°, intensity 15, (5 1 -5)
- 2θ = 49.4°, intensity 18, (7 1 -3)
- 2θ = 52.4°, intensity 13, (2 2 2)

What did the second record say?
For Nd3AgAu3, a DFT-relaxed cell (GGA-PBE, Alexandria) gives the computed PXRD pattern in this record (a wavelength of 1.5418 Å).
Peak positions follow from Bragg's law for the DFT cell and can differ from measured ones.

Structure:
a b c (Å): 3.8466 4.5924 20.3965
angles (deg): 90.00 90.00 90.00
Space group Imm2 (No. 44)
Asymmetric unit:
Nd: 0.0000 0.0000 0.0000 (multiplicity 2)
Nd: 0.0000 0.0000 0.3730 (multiplicity 2)
Nd: 0.0000 0.5000 0.1777 (multiplicity 2)
Ag: 0.0000 0.5000 0.7522 (multiplicity 2)
Au: 0.0000 0.0000 0.5316 (multiplicity 2)
Au: 0.0000 0.0000 0.8375 (multiplicity 2)
Au: 0.0000 0.5000 0.6192 (multiplicity 2)

Most intense lines, 5° ≤ 2θ ≤ 70°, in order of rising 2θ:
- 2θ = 26.2°, intensity 17, (0 0 6)
- 2θ = 31.6°, intensity 100, (1 1 2)
- 2θ = 32.0°, intensity 27, (1 0 5)
- 2θ = 35.2°, intensity 36, (1 1 4)
- 2θ = 36.5°, intensity 57, (0 1 7)
- 2θ = 39.2°, intensity 38, (0 2 0)
- 2θ = 40.5°, intensity 48, (1 1 6)
- 2θ = 47.3°, intensity 22, (2 0 0)
- 2θ = 61.2°, intensity 25, (2 1 7)
- 2θ = 63.0°, intensity 19, (2 2 0)